K2Cd5Sn3: theoretical X-ray powder pattern (Cu Kα X-rays), based on a GGA-PBE-relaxed structure.

Top 10 peaks for 5° ≤ 2θ ≤ 70°, by angle:
two_theta, I/Imax
7.40, 100
29.55, 10
31.83, 10
34.07, 93
36.24, 47
37.04, 10
39.64, 19
52.19, 16
59.55, 12
63.81, 29

```
K2Cd5Sn3
1.0
-2.4787 2.4787 11.9472
2.4787 -2.4787 11.9472
2.4787 2.4787 -11.9472
K Cd Sn
2 5 3
direct
0.1940 0.1940 0.0000
0.8060 0.8060 0.0000
0.0807 0.5807 0.5000
0.4193 0.9193 0.5000
0.5000 0.5000 0.0000
0.5807 0.0807 0.5000
0.9193 0.4193 0.5000
0.0000 0.0000 0.0000
0.3499 0.3499 0.0000
0.6501 0.6501 0.0000
```